[1]
Computed X-ray diffraction stick pattern
Compound: ThSb
Radiation: a wavelength of 1.5418 Å
Structure: a GGA-PBE-relaxed structure

Crystal structure
Lattice parameters (Å, degrees): 3.8614 3.8614 3.8614 90.00 90.00 90.00
Space group Pm-3m (No. 221)
One atom of each set of equivalent atoms:
Th 0.0000 0.0000 0.0000 x1
Sb 0.5000 0.5000 0.5000 x1

Peak list (10 most intense, 2θ = 15–90°, low angle first)
| two_theta | I_rel | h k l |
| --- | --- | --- |
| 23.03 | 102 | 1 0 0 |
| 32.80 | 1000 | 1 1 0 |
| 40.46 | 34 | 1 1 1 |
| 47.07 | 185 | 2 0 0 |
| 53.03 | 50 | 2 1 0 |
| 58.55 | 387 | 2 1 1 |
| 68.76 | 120 | 2 2 0 |
| 73.59 | 25 | 3 0 0 |
| 78.30 | 169 | 3 1 0 |
| 87.51 | 44 | 2 2 2 |

[2]
Computed X-ray diffraction stick pattern
Compound: ThSb
Radiation: a wavelength of 1.5418 Å
Structure: a GGA-PBE-relaxed structure

Crystal structure
Lattice parameters (Å, degrees): 6.3737 6.3737 6.3737 90.00 90.00 90.00
Space group Fm-3m (No. 225)
One atom of each set of equivalent atoms:
Th 0.0000 0.0000 0.0000 x4
Sb 0.0000 0.0000 0.5000 x4

Peak list (10 most intense, 2θ = 15–90°, low angle first)
| two_theta | I_rel | h k l |
| --- | --- | --- |
| 24.19 | 161 | 1 1 1 |
| 28.00 | 1000 | 2 0 0 |
| 40.01 | 779 | 2 2 0 |
| 47.30 | 90 | 3 1 1 |
| 49.54 | 282 | 2 2 2 |
| 57.87 | 134 | 4 0 0 |
| 63.64 | 40 | 3 3 1 |
| 65.49 | 369 | 4 2 0 |
| 72.68 | 274 | 4 2 2 |
| 86.35 | 90 | 4 4 0 |